No. 1
Structure and calculated powder diffractogram of RbDyS3 (a cell relaxed with GGA-PBE; Cu Kα X-rays).
Lines closer than 0.1° are merged.

Top 10 peaks for 2θ = 5–70°, low angle first:
d (Å), intensity, h k l
6.702, 92, 0 0 1
6.551, 100, 1 0 0
4.078, 85, 1 0 -1
3.538, 80, 2 1 1
3.507, 52, 1 2 1
3.466, 48, 1 0 2
2.858, 47, 0 2 -1
2.784, 39, 1 -2 0
2.692, 39, 2 2 0
2.628, 39, 0 2 2

Crystal structure
a = 7.252 Å, b = 7.285 Å, c = 7.331 Å
α = 74.76°, β = 68.07°, γ = 72.43°
Space group P-1 (No. 2)
Asymmetric unit:
Rb1 0.146 0.097 0.186 x2
Dy1 0.475 0.268 0.454 x2
S1 0.248 0.642 0.449 x2
S2 0.296 0.020 0.736 x2
S3 0.371 0.516 0.128 x2

No. 2
Structure and calculated powder diffractogram of RbDySe4 (a cell relaxed with GGA-PBE; Cu Kα X-rays).
Lines closer than 0.1° are merged.

Top 10 peaks for 2θ = 5–70°, low angle first:
d (Å), intensity, h k l
8.675, 66, 0 0 1
3.140, 16, 2 0 0
3.103, 100, 1 1 2
2.672, 54, 2 1 1
2.544, 37, 2 0 2
2.358, 16, 2 1 2
1.986, 40, 3 1 0
1.717, 15, 2 1 4
1.476, 20, 4 0 2
1.465, 14, 3 1 4

Crystal structure
a = 6.281 Å, b = 6.281 Å, c = 8.675 Å
α = 90.00°, β = 90.00°, γ = 90.00°
Space group P4/nbm (No. 125, origin choice 2)
Asymmetric unit:
Rb1 0.250 0.250 0.000 x2
Dy1 0.250 0.250 0.500 x2
Se1 0.113 0.613 0.302 x8

No. 3
Structure and calculated powder diffractogram of DyRe2 (a cell relaxed with GGA-PBE; Cu Kα X-rays).
Lines closer than 0.1° are merged.

Top 10 peaks for 2θ = 5–70°, low angle first:
d (Å), intensity, h k l
2.704, 23, 1 1 0
2.490, 64, 1 0 3
2.305, 100, 1 1 2
2.263, 91, 2 0 1
2.204, 23, 0 0 4
2.068, 25, 2 0 2
1.516, 24, 2 1 3
1.472, 25, 3 0 2
1.409, 33, 2 0 5
1.352, 29, 2 2 0

Crystal structure
a = 5.4086 Å, b = 5.4086 Å, c = 8.8170 Å
α = 90.00°, β = 90.00°, γ = 120.00°
Space group P6_3/mmc (No. 194)
Asymmetric unit:
Dy1 0.3333 0.6667 0.0621 x4
Re1 0.0000 0.0000 0.0000 x2
Re2 0.1710 0.3420 0.7500 x6

No. 4
Structure and calculated powder diffractogram of Dy3Sc3ReTe2 (a cell relaxed with GGA-PBE; Cu Kα X-rays).
Lines closer than 0.1° are merged.

Top 10 peaks for 2θ = 5–70°, low angle first:
d (Å), intensity, h k l
3.956, 50, 1 1 0
2.841, 97, 1 1 1
2.624, 100, 2 0 1
2.590, 26, 2 1 0
2.284, 59, 3 0 0
2.187, 47, 2 1 1
2.041, 27, 0 0 2
1.723, 20, 3 1 1
1.522, 33, 3 0 2
1.467, 37, 3 2 1

Crystal structure
a = 7.9120 Å, b = 7.9120 Å, c = 4.0813 Å
α = 90.00°, β = 90.00°, γ = 120.00°
Space group P-62m (No. 189)
Asymmetric unit:
Dy1 0.0000 0.3903 0.0000 x3
Sc1 0.0000 0.7704 0.5000 x3
Re1 0.0000 0.0000 0.0000 x1
Te1 0.3333 0.6667 0.5000 x2

No. 5
Structure and calculated powder diffractogram of Dy2Re3Si5 (a cell relaxed with GGA-PBE; Cu Kα X-rays).
Lines closer than 0.1° are merged.

Top 10 peaks for 2θ = 5–70°, low angle first:
d (Å), intensity, h k l
3.474, 100, 3 1 0
3.052, 36, 3 0 1
2.941, 87, 3 1 1
2.602, 43, 1 1 2
2.457, 56, 4 2 0
2.400, 86, 4 1 1
2.251, 54, 2 2 2
2.041, 40, 4 3 1
1.947, 31, 4 0 2
1.889, 38, 3 3 2

Crystal structure
a = 10.987 Å, b = 10.987 Å, c = 5.523 Å
α = 90.00°, β = 90.00°, γ = 90.00°
Space group P4/mnc (No. 128)
Asymmetric unit:
Dy1 0.078 0.237 0.000 x8
Re1 0.000 0.500 0.250 x4
Re2 0.123 0.853 0.500 x8
Si1 0.000 0.000 0.242 x4
Si2 0.028 0.314 0.500 x8
Si3 0.172 0.672 0.250 x8

No. 6
Structure and calculated powder diffractogram of Sm2DyS3 (a cell relaxed with GGA-PBE; Cu Kα X-rays).
Lines closer than 0.1° are merged.

Top 10 peaks for 2θ = 5–70°, low angle first:
d (Å), intensity, h k l
3.251, 20, 0 0 3
3.238, 59, 1 0 1
2.807, 100, 0 1 2
1.988, 36, 1 0 4
1.982, 36, 1 1 0
1.696, 10, 0 1 5
1.692, 29, 1 1 3
1.626, 6, 0 0 6
1.619, 19, 2 0 2
1.403, 12, 0 2 4

Crystal structure
a = 3.9635 Å, b = 3.9635 Å, c = 9.7530 Å
α = 90.00°, β = 90.00°, γ = 120.00°
Space group P-3m1 (No. 164)
Asymmetric unit:
Sm1 0.3333 0.6667 0.1686 x2
Dy1 0.0000 0.0000 0.5000 x1
S1 0.0000 0.0000 0.0000 x1
S2 0.3333 0.6667 0.6588 x2

No. 7
Structure and calculated powder diffractogram of SrDy2S4 (a cell relaxed with GGA-PBE; Cu Kα X-rays).
Lines closer than 0.1° are merged.

Top 10 peaks for 2θ = 5–70°, low angle first:
d (Å), intensity, h k l
3.591, 46, 0 0 4
3.496, 100, 3 0 2
3.353, 89, 1 1 2
3.327, 44, 2 1 0
2.440, 59, 2 1 4
2.400, 39, 4 1 0
1.999, 42, 0 2 0
1.996, 35, 4 1 4
1.747, 28, 6 0 4
1.735, 30, 3 2 2

Crystal structure
a = 12.007 Å, b = 3.996 Å, c = 14.364 Å
α = 90.00°, β = 90.00°, γ = 90.00°
Space group Pnma (No. 62)
Asymmetric unit:
Sr1 0.243 0.250 0.162 x4
Dy1 0.069 0.250 0.390 x4
Dy2 0.080 0.250 0.899 x4
S1 0.021 0.750 0.784 x4
S2 0.085 0.250 0.579 x4
S3 0.131 0.750 0.026 x4
S4 0.208 0.750 0.325 x4

No. 8
Structure and calculated powder diffractogram of TbDyS4 (a cell relaxed with GGA-PBE; Cu Kα X-rays).
Lines closer than 0.1° are merged.

Top 10 peaks for 2θ = 5–70°, low angle first:
d (Å), intensity, h k l
4.384, 30, 2 0 0
3.613, 37, 0 0 2
3.596, 36, 2 0 1
3.491, 100, 1 1 -1
2.593, 31, 1 1 2
2.425, 41, 3 1 0
2.172, 26, 0 2 0
2.091, 54, 1 1 -3
1.942, 23, 3 1 2
1.861, 24, 0 2 2

Crystal structure
a = 8.810 Å, b = 4.345 Å, c = 7.261 Å
α = 90.00°, β = 95.59°, γ = 90.00°
Space group Cm (No. 8)
Asymmetric unit:
Tb1 0.000 0.000 0.000 x2
Dy1 0.354 0.000 0.443 x2
S1 0.039 0.000 0.379 x2
S2 0.069 0.500 0.768 x2
S3 0.284 0.500 0.672 x2
S4 0.315 0.000 0.065 x2

Repeat the seventh record exactly.
Structure and calculated powder diffractogram of SrDy2S4 (a cell relaxed with GGA-PBE; Cu Kα X-rays).
Lines closer than 0.1° are merged.

Top 10 peaks for 2θ = 5–70°, low angle first:
d (Å), intensity, h k l
3.591, 46, 0 0 4
3.496, 100, 3 0 2
3.353, 89, 1 1 2
3.327, 44, 2 1 0
2.440, 59, 2 1 4
2.400, 39, 4 1 0
1.999, 42, 0 2 0
1.996, 35, 4 1 4
1.747, 28, 6 0 4
1.735, 30, 3 2 2

Crystal structure
a = 12.007 Å, b = 3.996 Å, c = 14.364 Å
α = 90.00°, β = 90.00°, γ = 90.00°
Space group Pnma (No. 62)
Asymmetric unit:
Sr1 0.243 0.250 0.162 x4
Dy1 0.069 0.250 0.390 x4
Dy2 0.080 0.250 0.899 x4
S1 0.021 0.750 0.784 x4
S2 0.085 0.250 0.579 x4
S3 0.131 0.750 0.026 x4
S4 0.208 0.750 0.325 x4